# 1
This entry pairs a crystal structure of Sc4InPt7 with its computed X-ray powder pattern. Radiation: Cu Kα (λ = 1.5418 Å). Structure: a DFT-relaxed cell (PBE, Alexandria).
Intensities are scaled so that the largest is 100.

Structure:
Cell: 6.0337 6.0337 9.8611 Å, 118.48 118.48 48.85°
Fractional coordinates of all 12 atoms:
1 Sc 0.0910 0.0910 0.2773
2 Sc 0.2601 0.2601 0.8477
3 Sc 0.7399 0.7399 0.1523
4 Sc 0.9090 0.9090 0.7227
5 In 0.5000 0.5000 0.5000
6 Pt 0.0000 0.0000 0.5000
7 Pt 0.1360 0.1360 0.0325
8 Pt 0.2861 0.2861 0.5984
9 Pt 0.4250 0.4250 0.1798
10 Pt 0.5750 0.5750 0.8202
11 Pt 0.7139 0.7139 0.4016
12 Pt 0.8640 0.8640 0.9675

Principal peaks in the range 2θ = 10–80°, sorted by position:
2θ = 25.45°, d = 3.500 Å, I = 100; 2θ = 33.96°, d = 2.640 Å, I = 50; 2θ = 34.78°, d = 2.579 Å, I = 20; 2θ = 36.00°, d = 2.495 Å, I = 65; 2θ = 36.59°, d = 2.456 Å, I = 29; 2θ = 40.02°, d = 2.253 Å, I = 65; 2θ = 41.35°, d = 2.183 Å, I = 21; 2θ = 42.30°, d = 2.137 Å, I = 19; 2θ = 42.90°, d = 2.108 Å, I = 19; 2θ = 45.65°, d = 1.987 Å, I = 40; 2θ = 50.32°, d = 1.813 Å, I = 34; 2θ = 52.26°, d = 1.750 Å, I = 22



# 2
This entry pairs a crystal structure of Sc2In3Pt with its computed X-ray powder pattern. Radiation: Cu Kα (λ = 1.5418 Å). Structure: a DFT-relaxed cell (PBE, Alexandria).
Intensities are scaled so that the largest is 100.

Structure:
Cell: 3.3344 4.7861 8.1819 Å, 90.00 90.00 90.00°
Fractional coordinates of all 6 atoms:
1 Sc 0.0000 0.0000 0.0000
2 Sc 0.0000 0.5000 0.4408
3 In 0.5000 0.0000 0.6141
4 In 0.5000 0.5000 0.1341
5 In 0.5000 0.5000 0.7917
6 Pt 0.5000 0.0000 0.2857

Principal peaks in the range 2θ = 10–80°, sorted by position:
2θ = 10.81°, d = 8.182 Å, I = 27; 2θ = 21.51°, d = 4.131 Å, I = 41; 2θ = 21.72°, d = 4.091 Å, I = 22; 2θ = 26.74°, d = 3.334 Å, I = 69; 2θ = 34.57°, d = 2.595 Å, I = 90; 2θ = 34.71°, d = 2.585 Å, I = 47; 2θ = 37.59°, d = 2.393 Å, I = 55; 2θ = 37.97°, d = 2.370 Å, I = 100; 2θ = 46.72°, d = 1.944 Å, I = 31; 2θ = 47.05°, d = 1.932 Å, I = 63; 2θ = 52.08°, d = 1.756 Å, I = 29; 2θ = 68.86°, d = 1.364 Å, I = 40



# 3
This entry pairs a crystal structure of ScInPt6 with its computed X-ray powder pattern. Radiation: Cu Kα (λ = 1.5418 Å). Structure: a DFT-relaxed cell (PBE, Alexandria).
Intensities are scaled so that the largest is 100.

Structure:
Cell: 4.0303 4.0303 8.0529 Å, 90.00 90.00 90.00°
Fractional coordinates of all 8 atoms:
1 Sc 0.0000 0.0000 0.0000
2 In 0.0000 0.0000 0.5000
3 Pt 0.0000 0.5000 0.2453
4 Pt 0.0000 0.5000 0.7547
5 Pt 0.5000 0.0000 0.2453
6 Pt 0.5000 0.0000 0.7547
7 Pt 0.5000 0.5000 0.0000
8 Pt 0.5000 0.5000 0.5000

Principal peaks in the range 2θ = 10–80°, sorted by position:
2θ = 22.06°, d = 4.029 Å, I = 9; 2θ = 24.70°, d = 3.604 Å, I = 1; 2θ = 31.40°, d = 2.849 Å, I = 7; 2θ = 33.36°, d = 2.686 Å, I = 1; 2θ = 38.71°, d = 2.326 Å, I = 100; 2θ = 45.00°, d = 2.015 Å, I = 49; 2θ = 50.66°, d = 1.802 Å, I = 4; 2θ = 55.90°, d = 1.645 Å, I = 3; 2θ = 65.53°, d = 1.424 Å, I = 32; 2θ = 70.06°, d = 1.343 Å, I = 2; 2θ = 74.47°, d = 1.274 Å, I = 1; 2θ = 78.78°, d = 1.215 Å, I = 38